Na3FeBSO7: simulated powder X-ray diffraction pattern (Cu Kα (weighted mean of Kα1 and Kα2)), based on a structure optimized by DFT (GGA+U).
Intensities are scaled so that the largest is 100.

Most intense lines, 10 to 90 degrees two-theta, by angle:
2θ/deg	d (Å)	Rel. int.
16.12	5.498	40
19.26	4.607	28
19.60	4.530	27
25.65	3.473	54
25.74	3.461	100
32.36	2.767	71
32.57	2.750	88
33.88	2.646	70
48.02	1.895	42
52.92	1.730	31

Atomic structure:
```
data_Na3FeBSO7
_space_group_name_H-M_alt 'P 1'
_space_group_IT_number 1
_cell_length_a 8.713
_cell_length_b 8.714
_cell_length_c 10.399
_cell_angle_alpha 107.39
_cell_angle_beta 107.41
_cell_angle_gamma 105.18
loop_
_space_group_symop_operation_xyz
'x,y,z'
loop_
_atom_site_label
_atom_site_type_symbol
_atom_site_fract_x
_atom_site_fract_y
_atom_site_fract_z
_atom_site_occupancy
Na1 Na 0.000 0.000 0.000 1
Na2 Na 0.016 0.033 0.530 1
Na3 Na 0.037 0.296 0.830 1
Na4 Na 0.242 0.759 0.000 1
Na5 Na 0.275 0.773 0.529 1
Na6 Na 0.479 0.236 0.701 1
Na7 Na 0.499 0.497 0.000 1
Na8 Na 0.516 0.532 0.529 1
Na9 Na 0.539 0.795 0.829 1
Na10 Na 0.740 0.257 0.000 1
Na11 Na 0.776 0.275 0.531 1
Na12 Na 0.976 0.735 0.701 1
Fe1 Fe 0.084 0.342 0.429 1
Fe2 Fe 0.431 0.189 0.101 1
Fe3 Fe 0.584 0.841 0.428 1
Fe4 Fe 0.937 0.694 0.104 1
B1 B 0.235 0.492 0.703 1
B2 B 0.281 0.038 0.827 1
B3 B 0.734 0.992 0.702 1
B4 B 0.782 0.540 0.831 1
S1 S 0.199 0.457 0.184 1
S2 S 0.315 0.074 0.345 1
S3 S 0.700 0.958 0.185 1
S4 S 0.813 0.570 0.345 1
O1 O 0.075 0.333 0.216 1
O2 O 0.083 0.340 0.632 1
O3 O 0.101 0.532 0.093 1
O4 O 0.177 0.935 0.200 1
O5 O 0.193 0.951 0.677 1
O6 O 0.224 0.983 0.925 1
O7 O 0.237 0.169 0.434 1
O8 O 0.276 0.360 0.095 1
O9 O 0.290 0.548 0.604 1
O10 O 0.322 0.580 0.852 1
O11 O 0.338 0.597 0.327 1
O12 O 0.411 0.996 0.433 1
O13 O 0.433 0.190 0.898 1
O14 O 0.440 0.199 0.314 1
O15 O 0.576 0.835 0.217 1
O16 O 0.582 0.839 0.630 1
O17 O 0.604 0.036 0.096 1
O18 O 0.673 0.431 0.202 1
O19 O 0.696 0.455 0.681 1
O20 O 0.725 0.482 0.928 1
O21 O 0.738 0.669 0.434 1
O22 O 0.775 0.859 0.094 1
O23 O 0.790 0.049 0.604 1
O24 O 0.820 0.078 0.851 1
O25 O 0.841 0.097 0.328 1
O26 O 0.910 0.494 0.435 1
O27 O 0.935 0.693 0.903 1
O28 O 0.937 0.692 0.311 1
```